1.
For PmAlNi2, DFT lattice parameters and positions (GGA-PBE) gives the simulated X-ray diffraction stick pattern in this record (λ = 1.5418 Å (Cu Kα)).

The 6 most intense peaks (10 to 90 degrees two-theta), by angle:
(1 1 0), 25.38°, d = 3.509 Å, rel. 89; (0 2 1), 32.48°, d = 2.757 Å, rel. 33; (0 1 2), 36.89°, d = 2.436 Å, rel. 55; (1 2 1), 39.16°, d = 2.301 Å, rel. 100; (1 0 2), 40.54°, d = 2.225 Å, rel. 57; (2 0 0), 43.34°, d = 2.088 Å, rel. 37

Structure:
```
data_PmAlNi2
_cell_length_a 4.1757
_cell_length_b 6.4740
_cell_length_c 5.2597
_cell_angle_alpha 90.00
_cell_angle_beta 90.00
_cell_angle_gamma 90.00
_space_group_name_H-M_alt 'P m m n'
_space_group_IT_number 59
loop_
_space_group_symop_operation_xyz
'x,y,z'
'-x,-y,-z'
'-x+1/2,-y+1/2,z'
'x+1/2,y+1/2,-z'
'x+1/2,-y,-z'
'-x+1/2,y,z'
'-x,y+1/2,-z'
'x,-y+1/2,z'
loop_
_atom_site_label
_atom_site_fract_x
_atom_site_fract_y
_atom_site_fract_z
Pm1 0.2500 0.2500 0.1504
Al1 0.2500 0.7500 0.3535
Ni1 0.2500 0.0541 0.6348
```

=====

2.
For Sc3PdS, DFT lattice parameters and positions (GGA-PBE) gives the simulated X-ray diffraction stick pattern in this record (λ = 1.5418 Å (Cu Kα)).

The 6 most intense peaks (10 to 90 degrees two-theta), by angle:
(0 2 2), 23.95°, d = 3.715 Å, rel. 50; (0 2 3), 31.93°, d = 2.803 Å, rel. 37; (1 3 0), 34.01°, d = 2.636 Å, rel. 35; (1 3 1), 35.33°, d = 2.541 Å, rel. 100; (1 1 3), 38.79°, d = 2.322 Å, rel. 69; (0 6 2), 50.06°, d = 1.822 Å, rel. 37

Structure:
```
data_Sc3PdS
_cell_length_a 3.5434
_cell_length_b 11.8320
_cell_length_c 9.5477
_cell_angle_alpha 90.00
_cell_angle_beta 90.00
_cell_angle_gamma 90.00
_space_group_name_H-M_alt 'C m c m'
_space_group_IT_number 63
_space_group_name_Hall '-C 2c 2'
loop_
_atom_site_label
_atom_site_fract_x
_atom_site_fract_y
_atom_site_fract_z
Sc1 0.0000 0.0715 0.2500
Sc2 0.0000 0.3542 0.0731
Pd1 0.0000 0.2531 0.7500
S1 0.0000 0.0000 0.0000
```

=====

3.
For OsC3I2O3, DFT lattice parameters and positions (GGA-PBE) gives the simulated X-ray diffraction stick pattern in this record (λ = 1.5418 Å (Cu Kα)).

The 6 most intense peaks (10 to 90 degrees two-theta), by angle:
(1 1 0), 14.29°, d = 6.199 Å, rel. 100; (1 1 -2), 21.84°, d = 4.070 Å, rel. 32; (0 2 2), 30.23°, d = 2.956 Å, rel. 77; (4 0 -1), 32.58°, d = 2.748 Å, rel. 35; (0 2 3), 37.36°, d = 2.407 Å, rel. 25; (4 2 1), 45.28°, d = 2.003 Å, rel. 25

Structure:
```
data_OsC3I2O3
_cell_length_a 10.9950
_cell_length_b 7.6831
_cell_length_c 9.7014
_cell_angle_alpha 90.00
_cell_angle_beta 107.39
_cell_angle_gamma 90.00
_space_group_name_H-M_alt 'C 1 2/m 1'
_space_group_IT_number 12
_space_group_name_Hall '-C 2y'
loop_
_atom_site_label
_atom_site_fract_x
_atom_site_fract_y
_atom_site_fract_z
Os1 0.0674 0.0000 0.2213
C1 0.0952 0.1832 0.3584
C2 0.2390 0.0000 0.2149
I1 0.0000 0.2441 0.0000
I2 0.1816 0.0000 0.7686
O1 0.1093 0.2996 0.4374
O2 0.1551 0.5000 0.7827
```